Diffraction record for Mg6Cd5. The XRD peak list is computed, not measured: it uses a structure optimized by DFT (GGA-PBE) and a wavelength of 1.5418 Å.
Intensities are scaled so that the largest is 100.

Atomic structure:
a b c (Å): 4.695 14.215 7.420
angles (deg): 90.00 90.00 90.00
Space group Cmmm (No. 65)
Asymmetric unit:
Mg: 0.000 0.000 0.224 [4 per cell]
Mg: 0.000 0.340 0.246 [8 per cell]
Cd: 0.000 0.166 0.500 [4 per cell]
Cd: 0.000 0.173 0.000 [4 per cell]
Cd: 0.000 0.500 0.500 [2 per cell]

Most intense lines, 2θ = 10–90°, sorted by position:
- hkl 0 0 2, 2θ = 23.99°, I 25
- hkl 1 3 0, 2θ = 26.73°, I 37
- hkl 1 3 2, 2θ = 36.22°, I 100
- hkl 0 6 0, 2θ = 37.98°, I 22
- hkl 2 0 0, 2θ = 38.34°, I 22
- hkl 0 0 4, 2θ = 49.12°, I 10
- hkl 2 6 0, 2θ = 55.07°, I 15
- hkl 1 9 2, 2θ = 67.47°, I 14
- hkl 3 3 2, 2θ = 67.95°, I 15
- hkl 2 6 4, 2θ = 76.87°, I 10